This entry pairs a crystal structure of Cs2Tm2MgW4O16 with its computed PXRD pattern. Radiation: Cu Kα, 1.54184 Å. Structure: a crystal structure in Alexandria, relaxed with PBE+U.

Structure:
```
Cs2Tm2MgW4O16
1.0
6.913 0.000 0.000
2.901 7.054 0.000
2.943 2.070 7.426
Cs Tm Mg W O
2 2 1 4 16
direct
0.000 0.000 0.000
0.431 0.216 0.302
0.479 0.723 0.285
0.955 0.487 0.020
0.220 0.593 0.654
0.519 0.130 0.824
0.530 0.619 0.834
0.901 0.582 0.475
0.912 0.070 0.483
0.199 0.908 0.468
0.211 0.584 0.414
0.224 0.318 0.835
0.232 0.637 0.888
0.463 0.893 0.788
0.484 0.981 0.068
0.563 0.635 0.571
0.586 0.575 0.061
0.595 0.334 0.877
0.600 0.234 0.558
0.833 0.887 0.431
0.841 0.637 0.235
0.844 0.970 0.742
0.863 0.583 0.738
0.945 0.230 0.240
0.973 0.310 0.515
```

Most intense lines, 2θ from 5° to 70°, sorted by position:
2θ = 23.97°, I 34, (0 0 2)
2θ = 24.66°, I 100, (1 0 2)
2θ = 26.05°, I 92, (1 2 0)
2θ = 26.23°, I 59, (0 2 0)
2θ = 28.86°, I 85, (2 0 0)
2θ = 30.53°, I 76, (0 2 2)
2θ = 31.06°, I 81, (1 0 -2)
2θ = 31.32°, I 90, (2 2 2)
2θ = 44.37°, I 34, (3 2 0)
2θ = 45.02°, I 39, (1 2 4)